# 1
Simulated XRD peak list of Li6Ti3VP6O24 for Cu Kα (λ = 1.5418 Å), from a GGA+U-relaxed structure.
No peak broadening, texture or thermal motion is included.

Structure:
abc: 8.453 8.490 9.054
angles: 62.93 62.63 60.21
Fractional coordinates of all 40 atoms:
1 Li 0.000 0.000 0.000
2 Li 0.062 0.413 0.719
3 Li 0.407 0.251 0.995
4 Li 0.484 0.766 0.521
5 Li 0.640 0.608 0.995
6 Li 0.886 0.089 0.498
7 Ti 0.078 0.685 0.818
8 Ti 0.585 0.189 0.298
9 Ti 0.877 0.483 0.419
10 V 0.380 0.986 0.905
11 P 0.184 0.082 0.610
12 P 0.265 0.580 0.108
13 P 0.478 0.374 0.615
14 P 0.691 0.871 0.117
15 P 0.776 0.790 0.613
16 P 0.973 0.299 0.105
17 O 0.112 0.521 0.277
18 O 0.166 0.132 0.764
19 O 0.185 0.174 0.065
20 O 0.213 0.869 0.662
21 O 0.230 0.789 0.060
22 O 0.256 0.533 0.964
23 O 0.264 0.506 0.662
24 O 0.362 0.103 0.455
25 O 0.467 0.452 0.131
26 O 0.517 0.192 0.766
27 O 0.525 0.325 0.450
28 O 0.569 0.832 0.064
29 O 0.586 0.789 0.758
30 O 0.599 0.078 0.127
31 O 0.607 0.480 0.572
32 O 0.710 0.737 0.300
33 O 0.752 0.956 0.445
34 O 0.850 0.200 0.122
35 O 0.877 0.591 0.582
36 O 0.896 0.845 0.983
37 O 0.900 0.341 0.279
38 O 0.909 0.818 0.668
39 O 0.935 0.489 0.952
40 O 0.996 0.207 0.560

Peak list (8 most intense, 10 to 90 degrees two-theta, most intense first)
2θ (°)	d (Å)	I/Imax
14.3	6.202	100.0
24.0	3.712	73.6
23.8	3.733	71.7
24.1	3.692	69.5
28.9	3.090	56.6
31.3	2.856	54.4
19.6	4.534	43.8
31.6	2.830	43.6

***

# 2
Simulated XRD peak list of PuNi2TeO6 for Cu Kα (λ = 1.5418 Å), from a GGA+U-relaxed structure.
No peak broadening, texture or thermal motion is included.

Structure:
abc: 6.046 6.046 4.049
angles: 90.00 90.00 90.00
Fractional coordinates of all 10 atoms:
1 Pu 0.000 0.000 0.000
2 Ni 0.000 0.500 0.002
3 Ni 0.500 0.000 0.002
4 Te 0.500 0.500 0.000
5 O 0.000 0.000 0.500
6 O 0.257 0.257 0.001
7 O 0.257 0.743 0.001
8 O 0.500 0.500 0.500
9 O 0.743 0.257 0.001
10 O 0.743 0.743 0.001

Peak list (8 most intense, 10 to 90 degrees two-theta, most intense first)
2θ (°)	d (Å)	I/Imax
22.0	4.049	100.0
29.5	3.023	71.3
37.1	2.422	57.5
20.8	4.275	55.6
48.1	1.890	48.2
42.3	2.138	44.4
54.6	1.682	26.3
63.3	1.470	25.1